Entry 1:
Structure and simulated X-ray diffraction stick pattern of Cd2GeAs4 (a crystal structure in Alexandria, relaxed with PBE; Cu Kα (weighted mean of Kα1 and Kα2)).
Intensities are scaled so that the largest is 100.

The 12 most intense peaks (2θ from 5° to 70°), by intensity:
d (Å)  I/Imax
1.958  100
2.979  100
3.257  88
3.673  63
2.047  63
3.226  44
2.793  39
1.888  36
2.453  29
1.950  25
1.869  24
2.954  23

Cell and atoms:
Lattice parameters (Å, degrees): 7.345 7.553 12.903 90.00 90.00 90.00
Space group Pnma (No. 62)
Asymmetric unit:
Cd (0.094, 0.024, 0.130)
Ge (0.082, 0.750, 0.419)
As (0.044, 0.512, 0.675)
As (0.091, 0.250, 0.961)
As (0.113, 0.250, 0.423)

=====

Entry 2:
Structure and simulated X-ray diffraction stick pattern of Cd3As2H2 (a crystal structure in Alexandria, relaxed with PBE; Cu Kα (weighted mean of Kα1 and Kα2)).
Intensities are scaled so that the largest is 100.

The 12 most intense peaks (2θ from 5° to 70°), by intensity:
d (Å)  I/Imax
3.562  100
2.585  53
2.984  48
2.775  41
2.229  37
2.034  24
3.685  24
2.206  23
1.917  22
2.430  21
2.171  21
3.623  20

Cell and atoms:
Lattice parameters (Å, degrees): 4.423 4.830 7.927 76.88 83.52 70.53
Space group P-1 (No. 2)
Asymmetric unit:
Cd (0.000, 0.000, 0.000)
Cd (0.276, 0.695, 0.588)
As (0.287, 0.141, 0.227)
H (0.172, 0.483, 0.137)

=====

Entry 3:
Structure and simulated X-ray diffraction stick pattern of CdAsPH (a crystal structure in Alexandria, relaxed with PBE; Cu Kα (weighted mean of Kα1 and Kα2)).
Intensities are scaled so that the largest is 100.

The 12 most intense peaks (2θ from 5° to 70°), by intensity:
d (Å)  I/Imax
3.900  100
5.151  99
2.582  81
2.560  73
2.162  56
2.168  41
2.609  41
3.228  40
3.173  38
2.778  35
1.894  31
1.908  27

Cell and atoms:
Lattice parameters (Å, degrees): 3.480 4.629 5.469 108.07 90.70 110.55
Space group P1 (No. 1)
Asymmetric unit:
Cd (0.000, 0.000, 0.000)
As (0.771, 0.545, 0.243)
P (0.347, 0.704, 0.579)
H (0.208, 0.402, 0.632)

=====

Entry 4:
Structure and simulated X-ray diffraction stick pattern of CdAsPH (a crystal structure in Alexandria, relaxed with PBE; Cu Kα (weighted mean of Kα1 and Kα2)).
Intensities are scaled so that the largest is 100.

The 12 most intense peaks (2θ from 5° to 70°), by intensity:
d (Å)  I/Imax
3.152  100
5.113  77
3.886  59
2.258  47
2.267  42
2.161  29
2.643  26
3.499  23
1.959  19
1.913  18
1.795  16
2.103  15

Cell and atoms:
Lattice parameters (Å, degrees): 8.413 3.919 5.537 90.00 112.56 90.00
Space group Cm (No. 8)
Asymmetric unit:
Cd (0.000, 0.000, 0.000)
As (0.350, 0.000, 0.203)
P (0.473, 0.000, 0.642)
H (0.149, 0.500, 0.666)

=====

Entry 5:
Structure and simulated X-ray diffraction stick pattern of Cd2AsPH (a crystal structure in Alexandria, relaxed with PBE; Cu Kα (weighted mean of Kα1 and Kα2)).
Intensities are scaled so that the largest is 100.

The 12 most intense peaks (2θ from 5° to 70°), by intensity:
d (Å)  I/Imax
2.526  100
2.600  85
1.487  37
3.475  29
1.839  29
2.082  28
3.678  26
2.889  23
1.445  16
1.571  16
1.933  14
1.625  12

Cell and atoms:
Lattice parameters (Å, degrees): 5.201 5.201 3.475 90.00 90.00 90.00
Space group P4mm (No. 99)
Asymmetric unit:
Cd (0.000, 0.500, 0.000)
As (0.000, 0.000, 0.606)
P (0.500, 0.500, 0.122)
H (0.500, 0.500, 0.534)